Simulated powder X-ray diffraction pattern
Compound: Ba3TlCu2S6
Radiation: Cu Kα (weighted mean of Kα1 and Kα2)
Structure: a DFT-relaxed cell (GGA-PBE, Alexandria)
Kinematic intensities with the Lorentz-polarization factor, no thermal factor.

Most intense lines, 15 to 90 degrees two-theta, in order of rising 2θ:
h k l	two_theta	I (rel.)
1 1 0	24.2	100
0 1 2	26.4	70
1 1 1	26.7	16
1 1 2	33.2	15
2 0 2	36.1	57
0 1 3	36.7	16
3 0 0	42.5	23
1 2 2	43.9	35
2 2 0	49.5	27
3 1 2	56.9	17

Cell and atoms:
```
data_Ba3TlCu2S6
_chemical_formula_sum 'Ba3 Tl1 Cu2 S6'
_space_group_name_H-M_alt 'P -3 m 1'
_space_group_IT_number 164
_space_group_name_Hall '-P 3 2"'
_cell_length_a 7.3701
_cell_length_b 7.3701
_cell_length_c 7.9488
_cell_angle_alpha 90.00
_cell_angle_beta 90.00
_cell_angle_gamma 120.00
loop_
_atom_site_label
_atom_site_fract_x
_atom_site_fract_y
_atom_site_fract_z
_atom_site_occupancy
Ba1 0.0000 0.0000 0.0000 1
Ba2 0.3333 0.6667 0.6220 1
Tl1 0.0000 0.0000 0.5000 1
Cu1 0.3333 0.6667 0.2177 1
S1 0.1688 0.3375 0.2907 1
```